Entry 1:
CdC8N6: computed PXRD pattern (Cu Kα), based on DFT lattice parameters and positions (GGA-PBE).

```
CdC8N6
1.0
13.242 0.000 0.000
-6.621 11.468 0.000
0.000 0.000 5.743
Cd C N
3 24 18
direct
0.000 0.000 0.000 Cd
0.333 0.667 0.677 Cd
0.667 0.333 0.677 Cd
0.000 0.223 0.660 C
0.000 0.317 0.547 C
0.000 0.662 0.034 C
0.000 0.760 0.123 C
0.104 0.665 0.973 C
0.106 0.419 0.502 C
0.223 0.000 0.660 C
0.240 0.240 0.123 C
0.313 0.894 0.502 C
0.317 0.000 0.547 C
0.335 0.439 0.973 C
0.338 0.338 0.034 C
0.419 0.106 0.502 C
0.439 0.335 0.973 C
0.561 0.896 0.973 C
0.581 0.687 0.502 C
0.662 0.000 0.034 C
0.665 0.104 0.973 C
0.683 0.683 0.547 C
0.687 0.581 0.502 C
0.760 0.000 0.123 C
0.777 0.777 0.660 C
0.894 0.313 0.502 C
0.896 0.561 0.973 C
0.000 0.145 0.759 N
0.000 0.843 0.196 N
0.145 0.000 0.759 N
0.157 0.157 0.196 N
0.188 0.662 0.917 N
0.194 0.505 0.466 N
0.311 0.806 0.466 N
0.338 0.525 0.917 N
0.475 0.812 0.917 N
0.495 0.689 0.466 N
0.505 0.194 0.466 N
0.525 0.338 0.917 N
0.662 0.188 0.917 N
0.689 0.495 0.466 N
0.806 0.311 0.466 N
0.812 0.475 0.917 N
0.843 0.000 0.196 N
0.855 0.855 0.759 N
```

Main lines, by intensity (10 to 90 degrees two-theta):
hkl 1 1 0, 6.621 Å, 13.37°, I = 100.0
hkl 1 1 1, 4.339 Å, 20.47°, I = 69.0
hkl 1 0 1, 5.135 Å, 17.27°, I = 43.6
hkl 2 1 2, 2.393 Å, 37.58°, I = 36.5
hkl 2 1 1, 3.460 Å, 25.75°, I = 34.2
hkl 3 0 0, 3.823 Å, 23.27°, I = 33.6
hkl 2 0 1, 4.058 Å, 21.90°, I = 27.3
hkl 4 1 0, 2.503 Å, 35.88°, I = 24.8
hkl 3 1 1, 2.783 Å, 32.17°, I = 23.1
hkl 4 1 1, 2.295 Å, 39.26°, I = 20.8
hkl 3 2 2, 1.940 Å, 46.84°, I = 18.2
hkl 3 1 2, 2.131 Å, 42.42°, I = 16.4

=====

Entry 2:
CrS: computed PXRD pattern (Cu Kα), based on DFT lattice parameters and positions (GGA-PBE).

```
CrS
1.0
3.386 0.000 0.000
-1.693 2.932 0.000
0.000 0.000 5.746
Cr S
2 2
direct
0.000 0.000 0.000 Cr
0.000 0.000 0.500 Cr
0.333 0.667 0.250 S
0.667 0.333 0.750 S
```

Main lines, by intensity (10 to 90 degrees two-theta):
hkl 1 0 2, 2.052 Å, 44.13°, I = 100.0
hkl 1 0 0, 2.932 Å, 30.48°, I = 42.3
hkl 1 1 0, 1.693 Å, 54.18°, I = 38.7
hkl 1 0 1, 2.612 Å, 34.33°, I = 35.5
hkl 2 0 2, 1.306 Å, 72.36°, I = 19.7
hkl 1 1 4, 1.095 Å, 89.47°, I = 17.6
hkl 0 0 4, 1.436 Å, 64.92°, I = 7.1
hkl 1 0 3, 1.603 Å, 57.47°, I = 6.8
hkl 1 0 4, 1.290 Å, 73.40°, I = 5.1
hkl 2 0 1, 1.421 Å, 65.73°, I = 4.5
hkl 2 0 0, 1.466 Å, 63.44°, I = 4.2
hkl 0 0 2, 2.873 Å, 31.13°, I = 4.1

=====

Entry 3:
Na2SiH10O8: computed PXRD pattern (Cu Kα), based on DFT lattice parameters and positions (GGA-PBE).

```
Na2SiH10O8
1.0
6.676 0.000 0.000
-1.967 7.714 0.000
-1.281 -3.194 7.867
Na Si H O
4 2 20 16
direct
0.132 0.317 0.162 Na
0.313 0.542 0.651 Na
0.687 0.458 0.349 Na
0.868 0.683 0.838 Na
0.470 0.034 0.266 Si
0.530 0.966 0.734 Si
0.005 0.842 0.212 H
0.075 0.772 0.580 H
0.137 0.167 0.410 H
0.156 0.469 0.892 H
0.252 0.195 0.847 H
0.282 0.921 0.437 H
0.292 0.686 0.988 H
0.387 0.683 0.407 H
0.425 0.138 0.044 H
0.458 0.681 0.240 H
0.542 0.319 0.760 H
0.575 0.862 0.956 H
0.613 0.317 0.593 H
0.708 0.314 0.012 H
0.718 0.079 0.563 H
0.748 0.805 0.153 H
0.844 0.531 0.108 H
0.863 0.833 0.590 H
0.925 0.228 0.420 H
0.995 0.158 0.788 H
0.081 0.273 0.420 O
0.130 0.243 0.874 O
0.174 0.595 0.887 O
0.257 0.976 0.346 O
0.327 0.823 0.575 O
0.389 0.154 0.156 O
0.421 0.599 0.306 O
0.488 0.151 0.857 O
0.512 0.849 0.143 O
0.579 0.401 0.694 O
0.611 0.846 0.844 O
0.673 0.177 0.425 O
0.743 0.024 0.654 O
0.826 0.405 0.113 O
0.870 0.757 0.126 O
0.919 0.727 0.580 O
```

Main lines, by intensity (10 to 90 degrees two-theta):
hkl 1 1 1, 3.181 Å, 28.05°, I = 100.0
hkl 1 0 0, 6.263 Å, 14.14°, I = 99.4
hkl 0 2 -2, 3.345 Å, 26.65°, I = 86.6
hkl 2 -1 0, 3.273 Å, 27.24°, I = 86.2
hkl 1 1 -3, 2.732 Å, 32.77°, I = 82.5
hkl 1 1 0, 4.111 Å, 21.62°, I = 59.3
hkl 0 0 2, 3.934 Å, 22.60°, I = 46.3
hkl 2 0 -2, 2.817 Å, 31.76°, I = 46.3
hkl -1 2 1, 3.038 Å, 29.40°, I = 46.0
hkl 1 -1 0, 5.683 Å, 15.59°, I = 43.8
hkl 1 -3 2, 2.469 Å, 36.38°, I = 40.1
hkl 1 2 0, 2.752 Å, 32.53°, I = 38.3

=====

Entry 4:
Ni3SnN: computed PXRD pattern (Cu Kα), based on DFT lattice parameters and positions (GGA-PBE).

```
Ni3SnN
1.0
3.909 0.000 0.000
0.000 3.909 0.000
0.000 0.000 3.909
Ni Sn N
3 1 1
direct
0.000 0.000 0.500 Ni
0.000 0.500 0.000 Ni
0.500 0.000 0.000 Ni
0.500 0.500 0.500 Sn
0.000 0.000 0.000 N
```

Main lines, by intensity (10 to 90 degrees two-theta):
hkl 1 1 1, 2.257 Å, 39.95°, I = 100.0
hkl 2 0 0, 1.954 Å, 46.47°, I = 56.3
hkl 3 1 1, 1.178 Å, 81.71°, I = 36.3
hkl 2 2 0, 1.382 Å, 67.82°, I = 34.6
hkl 1 1 0, 2.764 Å, 32.39°, I = 14.0
hkl 2 2 2, 1.128 Å, 86.20°, I = 12.0
hkl 2 1 1, 1.596 Å, 57.78°, I = 5.7
hkl 1 0 0, 3.909 Å, 22.75°, I = 5.3
hkl 2 1 0, 1.748 Å, 52.34°, I = 3.5
hkl 3 1 0, 1.236 Å, 77.18°, I = 2.7
hkl 3 0 0, 1.303 Å, 72.56°, I = 2.2

=====

What is the formula in the fourth record? Ni3SnN

=====

Which formula does entry 1 have? CdC8N6

=====

What did the second record say?
CrS: computed PXRD pattern (Cu Kα), based on DFT lattice parameters and positions (GGA-PBE).

```
CrS
1.0
3.386 0.000 0.000
-1.693 2.932 0.000
0.000 0.000 5.746
Cr S
2 2
direct
0.000 0.000 0.000 Cr
0.000 0.000 0.500 Cr
0.333 0.667 0.250 S
0.667 0.333 0.750 S
```

Main lines, by intensity (10 to 90 degrees two-theta):
hkl 1 0 2, 2.052 Å, 44.13°, I = 100.0
hkl 1 0 0, 2.932 Å, 30.48°, I = 42.3
hkl 1 1 0, 1.693 Å, 54.18°, I = 38.7
hkl 1 0 1, 2.612 Å, 34.33°, I = 35.5
hkl 2 0 2, 1.306 Å, 72.36°, I = 19.7
hkl 1 1 4, 1.095 Å, 89.47°, I = 17.6
hkl 0 0 4, 1.436 Å, 64.92°, I = 7.1
hkl 1 0 3, 1.603 Å, 57.47°, I = 6.8
hkl 1 0 4, 1.290 Å, 73.40°, I = 5.1
hkl 2 0 1, 1.421 Å, 65.73°, I = 4.5
hkl 2 0 0, 1.466 Å, 63.44°, I = 4.2
hkl 0 0 2, 2.873 Å, 31.13°, I = 4.1